Computed powder diffractogram
Compound: NaMg6CrO8
Radiation: Cu Kα X-rays
Structure: a cell relaxed with GGA+U
Neutral-atom scattering factors, no anomalous dispersion.

Structural model:
a = 4.262 Å, b = 4.262 Å, c = 8.632 Å
α = 90.00°, β = 90.00°, γ = 90.00°
Fractional coordinates of all 16 atoms:
Na1 0.000 0.000 0.000
Mg1 0.000 0.000 0.500
Mg2 0.000 0.500 0.250
Mg3 0.000 0.500 0.750
Mg4 0.500 0.000 0.250
Mg5 0.500 0.000 0.750
Mg6 0.500 0.500 0.500
Cr1 0.500 0.500 0.000
O1 0.000 0.000 0.265
O2 0.000 0.000 0.735
O3 0.000 0.500 0.000
O4 0.000 0.500 0.500
O5 0.500 0.000 0.000
O6 0.500 0.000 0.500
O7 0.500 0.500 0.238
O8 0.500 0.500 0.762

Top 6 peaks for 2θ from 10° to 90°, by angle:
| h k l | 2theta | I/Imax |
| --- | --- | --- |
| 1 1 2 | 36.36 | 25 |
| 0 0 4 | 41.86 | 51 |
| 2 0 0 | 42.41 | 100 |
| 2 0 4 | 61.12 | 56 |
| 2 2 0 | 61.53 | 28 |
| 2 2 4 | 77.21 | 25 |